Calculated powder XRD pattern of Lu2GaRu for Cu Kα (λ = 1.5418 Å), from a structure optimized by DFT (GGA-PBE).
No peak broadening, texture or thermal motion is included.

Main lines, in order of rising 2θ (5 to 70 degrees two-theta):
2theta, Rel. int., h k l
22.6, 1, 1 1 1
26.1, 13, 2 0 0
37.2, 100, 2 2 0
46.0, 4, 2 2 2
53.7, 17, 4 0 0
60.6, 5, 4 2 0
67.2, 35, 4 2 2

Structural model:
Cell lengths 6.8288, 6.8288, 6.8288 Å; angles 90.00, 90.00, 90.00 degrees
Space group Fm-3m (No. 225)
Unique sites:
1 Lu 0.2500 0.2500 0.2500 [8 per cell]
2 Ga 0.0000 0.0000 0.0000 [4 per cell]
3 Ru 0.0000 0.0000 0.5000 [4 per cell]